Hg3Te2Cl2: theoretical powder diffractogram (Cu Kα, 1.54184 Å), based on DFT lattice parameters and positions (GGA-PBE).
Lines closer than 0.1° are merged.

Cell and atoms:
Lattice parameters (Å, degrees): 7.2398 7.9081 11.3304 90.00 129.04 90.00
Fractional positions:
Hg1 0.0000 0.0000 0.0000
Hg2 0.0000 0.5000 0.5000
Hg3 0.0137 0.0507 0.6764
Hg4 0.0137 0.4493 0.1764
Hg5 0.9863 0.5507 0.8236
Hg6 0.9863 0.9493 0.3236
Te1 0.2554 0.6534 0.4306
Te2 0.2554 0.8466 0.9306
Te3 0.7446 0.1534 0.0694
Te4 0.7446 0.3466 0.5694
Cl1 0.2837 0.1316 0.5882
Cl2 0.2837 0.3684 0.0882
Cl3 0.7163 0.6316 0.9118
Cl4 0.7163 0.8684 0.4118

Most intense lines, 2θ = 10–80°, in order of rising 2θ:
hkl 1 0 0, 15.76°, I = 100
hkl 0 2 0, 22.49°, I = 25
hkl 1 1 -3, 26.36°, I = 28
hkl 1 2 0, 27.58°, I = 46
hkl 2 1 -3, 29.07°, I = 47
hkl 0 1 3, 32.56°, I = 42
hkl 1 2 1, 32.78°, I = 26
hkl 3 1 -3, 39.03°, I = 39
hkl 1 3 -3, 41.93°, I = 28
hkl 1 1 3, 44.40°, I = 26